Calculated powder X-ray diffraction pattern of Cs2BiAsI6 for Cu Kα (λ = 1.5418 Å), from a structure optimized by DFT (GGA-PBE).

Crystal structure
a b c (Å): 8.681 8.681 8.681
angles (deg): 120.47 120.47 89.19
Fractional positions:
Cs  0.250  0.750  0.500
Cs  0.750  0.250  0.500
Bi  0.000  0.000  0.000
As  0.500  0.500  0.000
I  0.256  0.256  0.000
I  0.258  0.258  0.516
I  0.258  0.742  0.000
I  0.742  0.258  0.000
I  0.742  0.742  0.484
I  0.744  0.744  0.000

Largest 8 diffraction maxima, sorted by position, 2θ = 10–90°:
2θ = 25.2°, I 94.0
2θ = 28.9°, I 52.1
2θ = 29.3°, I 100.0
2θ = 41.6°, I 76.3
2θ = 41.9°, I 37.2
2θ = 49.5°, I 27.5
2θ = 51.7°, I 40.0
2θ = 76.4°, I 25.0

Calculated powder X-ray diffraction pattern of La2CoCuAu for Cu Kα (λ = 1.5418 Å), from a structure optimized by DFT (GGA-PBE).

Crystal structure
a b c (Å): 7.294 4.510 7.724
angles (deg): 90.00 113.51 90.00
Fractional positions:
La  0.175  0.250  0.366
La  0.272  0.250  0.929
La  0.728  0.750  0.071
La  0.825  0.750  0.634
Co  0.053  0.750  0.048
Co  0.947  0.250  0.952
Cu  0.410  0.750  0.269
Cu  0.590  0.250  0.731
Au  0.358  0.750  0.665
Au  0.642  0.250  0.335

Largest 8 diffraction maxima, sorted by position, 2θ = 10–90°:
2θ = 24.5°, I 24.0
2θ = 32.1°, I 100.0
2θ = 33.4°, I 40.2
2θ = 34.9°, I 79.5
2θ = 38.1°, I 33.3
2θ = 39.5°, I 33.8
2θ = 40.0°, I 52.9
2θ = 45.4°, I 25.4

Calculated powder X-ray diffraction pattern of PuThZr for Cu Kα (λ = 1.5418 Å), from a structure optimized by DFT (GGA-PBE).

Crystal structure
a b c (Å): 16.250 16.250 16.250
angles (deg): 12.03 12.03 12.03
Fractional positions:
Pu  0.088  0.088  0.088
Pu  0.912  0.912  0.912
Th  0.363  0.363  0.363
Th  0.637  0.637  0.637
Zr  0.192  0.192  0.192
Zr  0.808  0.808  0.808

Largest 8 diffraction maxima, sorted by position, 2θ = 10–90°:
2θ = 31.2°, I 65.3
2θ = 33.0°, I 96.1
2θ = 33.3°, I 41.6
2θ = 36.7°, I 100.0
2θ = 51.8°, I 27.9
2θ = 53.8°, I 37.7
2θ = 64.1°, I 20.5
2θ = 64.8°, I 37.7

Calculated powder X-ray diffraction pattern of Na5InAg for Cu Kα (λ = 1.5418 Å), from a structure optimized by DFT (GGA-PBE).

Crystal structure
a b c (Å): 8.525 8.525 5.770
angles (deg): 101.53 101.53 89.07
Fractional positions:
Na  0.172  0.552  0.168
Na  0.176  0.322  0.588
Na  0.229  0.771  0.750
Na  0.322  0.176  0.088
Na  0.448  0.828  0.332
Na  0.552  0.172  0.668
Na  0.678  0.824  0.912
Na  0.771  0.229  0.250
Na  0.824  0.678  0.412
Na  0.828  0.448  0.832
In  0.059  0.941  0.250
In  0.941  0.059  0.750
Ag  0.500  0.500  0.000
Ag  0.500  0.500  0.500

Largest 8 diffraction maxima, sorted by position, 2θ = 10–90°:
2θ = 14.8°, I 78.1
2θ = 15.2°, I 100.0
2θ = 21.3°, I 54.6
2θ = 29.9°, I 37.4
2θ = 30.7°, I 31.7
2θ = 34.2°, I 41.0
2θ = 34.9°, I 47.4
2θ = 36.2°, I 44.7